Structure and simulated X-ray powder pattern of CrSiH8O4F6 (a GGA+U-relaxed structure; Cu Kα, 1.54184 Å).

Most intense lines, 10° ≤ 2θ ≤ 90°, in order of rising 2θ:
18.0°, intensity 52, (0 2 0)
20.2°, intensity 100, (1 1 -1)
24.4°, intensity 95, (1 1 1)
24.6°, intensity 31, (0 0 2)
32.7°, intensity 44, (1 3 -1)
41.0°, intensity 23, (2 2 -2)
45.6°, intensity 23, (1 1 3)
46.5°, intensity 19, (1 3 -3)
52.5°, intensity 24, (2 4 -2)
56.9°, intensity 14, (3 1 -3)

Cell and atoms:
abc: 5.5724 9.8829 7.4341
angles: 90.00 103.52 90.00
Fractional positions:
Cr  0.0000  0.0000  0.0000
Cr  0.0000  0.5000  0.5000
Si  0.5000  0.0000  0.5000
Si  0.5000  0.5000  0.0000
H  0.2285  0.2359  0.9567
H  0.2285  0.2641  0.4567
H  0.2334  0.1450  0.7817
H  0.2334  0.3550  0.2817
H  0.2424  0.7298  0.4478
H  0.2424  0.7702  0.9478
H  0.2491  0.6321  0.2782
H  0.2491  0.8679  0.7782
H  0.7509  0.1321  0.2218
H  0.7509  0.3679  0.7218
H  0.7576  0.2298  0.0522
H  0.7576  0.2702  0.5522
H  0.7666  0.6450  0.7183
H  0.7666  0.8550  0.2183
H  0.7715  0.7359  0.5433
H  0.7715  0.7641  0.0433
O  0.1423  0.1617  0.8786
O  0.1423  0.3383  0.3786
O  0.2301  0.6347  0.4068
O  0.2301  0.8653  0.9068
O  0.7699  0.1347  0.0932
O  0.7699  0.3653  0.5932
O  0.8577  0.6617  0.6214
O  0.8577  0.8383  0.1214
F  0.2876  0.6120  0.0540
F  0.2876  0.8880  0.5540
F  0.3062  0.0323  0.2929
F  0.3062  0.4677  0.7929
F  0.3687  0.1324  0.5977
F  0.3687  0.3676  0.0977
F  0.6313  0.6324  0.9023
F  0.6313  0.8676  0.4023
F  0.6938  0.5323  0.2071
F  0.6938  0.9677  0.7071
F  0.7124  0.1120  0.4460
F  0.7124  0.3880  0.9460